[1]
This entry pairs a crystal structure of Tb5Tm2Pu with its calculated XRD peak list. Radiation: copper Kα. Structure: the GGA-PBE geometry in Alexandria.
Kinematic intensities with the Lorentz-polarization factor, no thermal factor.

Cell and atoms:
Lattice parameters (Å, degrees): 6.6027 6.6027 11.9778 101.93 101.93 87.27
Sites, in units of the cell vectors:
Tb1 0.2240 0.7760 0.7500
Tb2 0.2372 0.5134 0.9811
Tb3 0.2515 0.3733 0.2375
Tb4 0.3733 0.2515 0.7375
Tb5 0.4866 0.7628 0.5189
Tb6 0.5134 0.2372 0.4811
Tb7 0.6267 0.7485 0.2625
Tb8 0.7485 0.6267 0.7625
Tb9 0.7628 0.4866 0.0189
Tb10 0.7760 0.2240 0.2500
Tm1 0.0000 0.0000 0.0000
Tm2 0.0000 0.0000 0.5000
Tm3 0.0000 0.5000 0.5000
Tm4 0.5000 0.0000 0.0000
Pu1 0.1380 0.8620 0.2500
Pu2 0.8620 0.1380 0.7500

Principal peaks in the range 2θ = 5–70°, by intensity:
two_theta	intensity
31.17	100
30.89	69
28.86	59
30.22	54
33.51	53
31.30	50


[2]
This entry pairs a crystal structure of Tb2Tm2Pu with its calculated XRD peak list. Radiation: copper Kα. Structure: the GGA-PBE geometry in Alexandria.
Kinematic intensities with the Lorentz-polarization factor, no thermal factor.

Cell and atoms:
Lattice parameters (Å, degrees): 8.8392 8.8392 8.8392 126.11 63.18 149.52
Sites, in units of the cell vectors:
Tb1 0.1908 0.1406 0.3314
Tb2 0.3092 0.6406 0.9498
Tb3 0.6908 0.3594 0.0502
Tb4 0.8092 0.8594 0.6686
Tm1 0.0800 0.6478 0.7278
Tm2 0.4200 0.1478 0.5678
Tm3 0.5800 0.8522 0.4322
Tm4 0.9200 0.3522 0.2722
Pu1 0.2500 0.2500 0.0000
Pu2 0.7500 0.7500 0.0000

Principal peaks in the range 2θ = 5–70°, by intensity:
two_theta	intensity
32.60	100
30.05	89
31.74	68
61.15	55
11.75	32
38.18	30


[3]
This entry pairs a crystal structure of Tb8Tm2Pu with its calculated XRD peak list. Radiation: copper Kα. Structure: the GGA-PBE geometry in Alexandria.
Kinematic intensities with the Lorentz-polarization factor, no thermal factor.

Cell and atoms:
Lattice parameters (Å, degrees): 6.4760 6.4760 10.8250 115.29 115.29 64.30
Sites, in units of the cell vectors:
Tb1 0.2366 0.7390 0.7309
Tb2 0.2610 0.7634 0.2691
Tb3 0.3177 0.3177 0.9410
Tb4 0.3189 0.3189 0.3772
Tb5 0.6811 0.6811 0.6228
Tb6 0.6823 0.6823 0.0590
Tb7 0.7390 0.2366 0.7309
Tb8 0.7634 0.2610 0.2691
Tm1 0.1722 0.1722 0.5840
Tm2 0.8278 0.8278 0.4160
Pu1 0.0000 0.0000 0.0000

Principal peaks in the range 2θ = 5–70°, by intensity:
two_theta	intensity
32.14	100
33.08	75
32.28	61
32.66	31
28.04	28
31.20	27


[4]
This entry pairs a crystal structure of Tb6YTm2Pu with its calculated XRD peak list. Radiation: copper Kα. Structure: the GGA-PBE geometry in Alexandria.
Kinematic intensities with the Lorentz-polarization factor, no thermal factor.

Cell and atoms:
Lattice parameters (Å, degrees): 8.6276 8.6276 9.1187 92.27 92.27 68.34
Sites, in units of the cell vectors:
Tb1 0.0161 0.8173 0.6026
Tb2 0.1302 0.5995 0.9936
Tb3 0.1827 0.9839 0.8974
Tb4 0.2277 0.4895 0.4138
Tb5 0.4005 0.8698 0.5064
Tb6 0.4895 0.2277 0.9138
Tb7 0.5105 0.7723 0.0862
Tb8 0.5995 0.1302 0.4936
Tb9 0.7723 0.5105 0.5862
Tb10 0.8173 0.0161 0.1026
Tb11 0.8698 0.4005 0.0064
Tb12 0.9839 0.1827 0.3974
Y1 0.4340 0.5660 0.7500
Y2 0.5660 0.4340 0.2500
Tm1 0.1598 0.3085 0.6998
Tm2 0.3085 0.1598 0.1998
Tm3 0.6915 0.8402 0.8002
Tm4 0.8402 0.6915 0.3002
Pu1 0.1775 0.8225 0.2500
Pu2 0.8225 0.1775 0.7500

Principal peaks in the range 2θ = 5–70°, by intensity:
two_theta	intensity
31.11	100
33.07	65
34.87	58
29.91	51
34.71	45
29.29	44


[5]
This entry pairs a crystal structure of TbPuU with its calculated XRD peak list. Radiation: copper Kα. Structure: the GGA-PBE geometry in Alexandria.
Kinematic intensities with the Lorentz-polarization factor, no thermal factor.

Cell and atoms:
Lattice parameters (Å, degrees): 6.5595 6.5595 6.5595 149.17 149.17 44.16
Sites, in units of the cell vectors:
Tb1 0.0000 0.0000 0.0000
Pu1 0.2917 0.2917 0.0000
U1 0.7156 0.7156 0.0000

Principal peaks in the range 2θ = 5–70°, by intensity:
two_theta	intensity
33.91	100
36.44	75
14.57	54
59.46	37
47.48	33
63.97	33


[6]
This entry pairs a crystal structure of Tb5Y4Pu with its calculated XRD peak list. Radiation: copper Kα. Structure: the GGA-PBE geometry in Alexandria.
Kinematic intensities with the Lorentz-polarization factor, no thermal factor.

Cell and atoms:
Lattice parameters (Å, degrees): 8.5950 8.5950 11.3704 108.43 108.43 23.55
Sites, in units of the cell vectors:
Tb1 0.0000 0.0000 0.0000
Tb2 0.2895 0.2895 0.8852
Tb3 0.3118 0.3118 0.4221
Tb4 0.6882 0.6882 0.5779
Tb5 0.7105 0.7105 0.1148
Y1 0.1055 0.1055 0.2984
Y2 0.4152 0.4152 0.2091
Y3 0.5848 0.5848 0.7909
Y4 0.8945 0.8945 0.7016
Pu1 0.0000 0.0000 0.5000

Principal peaks in the range 2θ = 5–70°, by intensity:
two_theta	intensity
31.96	100
31.48	57
32.10	55
32.44	52
30.54	47
47.64	19